(1)
The following is a computed powder X-ray diffraction pattern of BS4N4F4. It was derived from DFT lattice parameters and positions (GGA-PBE), using Cu Ka.

Largest 10 diffraction maxima, sorted by position, 2θ = 10–90°:
Position (°2θ)  I_rel  index
15.4  27  0 0 2
15.7  45  1 1 0
18.4  48  1 1 -2
21.4  65  0 2 2
23.8  96  1 1 -3
26.2  100  1 3 0
27.6  52  0 2 3
31.7  34  2 2 0
31.9  27  1 3 -3
33.0  58  1 3 2

Structure:
```
data_BS4N4F4
_chemical_formula_sum 'B4 S16 N16 F16'
_cell_length_a 6.811
_cell_length_b 12.039
_cell_length_c 12.219
_cell_angle_alpha 90.00
_cell_angle_beta 110.07
_cell_angle_gamma 90.00
_symmetry_space_group_name_H-M 'P 1 21/c 1'
_symmetry_Int_Tables_number 14
loop_
_symmetry_equiv_pos_as_xyz
'x,y,z'
'-x,-y,-z'
'-x,y+1/2,-z+1/2'
'x,-y+1/2,z+1/2'
loop_
_atom_site_label
_atom_site_fract_x
_atom_site_fract_y
_atom_site_fract_z
B1 0.246 0.055 0.262
S1 0.068 0.740 0.586
S2 0.230 0.108 0.584
S3 0.289 0.097 0.912
S4 0.414 0.745 0.413
N1 0.025 0.152 0.487
N2 0.082 0.137 0.931
N3 0.421 0.192 0.629
N4 0.499 0.156 0.987
F1 0.079 0.126 0.196
F2 0.163 0.540 0.800
F3 0.366 0.022 0.193
F4 0.376 0.114 0.362
```

(2)
The following is a computed powder X-ray diffraction pattern of ZnB2N4F8. It was derived from DFT lattice parameters and positions (GGA-PBE), using Cu Ka.

Largest 10 diffraction maxima, sorted by position, 2θ = 10–90°:
Position (°2θ)  I_rel  index
15.9  78  2 0 1
18.2  100  1 0 3
21.7  68  2 1 0
22.2  53  0 0 4
22.4  95  2 1 1
23.0  58  0 1 3
29.7  29  3 1 2
31.3  43  2 1 4
31.8  52  0 2 0
39.7  63  3 2 1

Structure:
```
data_ZnB2N4F8
_chemical_formula_sum 'Zn4 B8 N16 F32'
_cell_length_a 11.898
_cell_length_b 5.628
_cell_length_c 16.001
_cell_angle_alpha 90.00
_cell_angle_beta 90.00
_cell_angle_gamma 90.00
_symmetry_space_group_name_H-M 'P n m a'
_symmetry_Int_Tables_number 62
loop_
_symmetry_equiv_pos_as_xyz
'x,y,z'
'-x,-y,-z'
'-x+1/2,-y,z+1/2'
'x+1/2,y,-z+1/2'
'x+1/2,-y+1/2,-z+1/2'
'-x+1/2,y+1/2,z+1/2'
'-x,y+1/2,-z'
'x,-y+1/2,z'
loop_
_atom_site_label
_atom_site_fract_x
_atom_site_fract_y
_atom_site_fract_z
Zn1 0.148 0.250 0.127
B1 0.002 0.250 0.819
B2 0.226 0.250 0.394
N1 0.047 0.750 0.492
N2 0.150 0.250 0.997
N3 0.233 0.001 0.661
F1 0.034 0.538 0.132
F2 0.052 0.750 0.257
F3 0.058 0.250 0.540
F4 0.117 0.250 0.815
F5 0.183 0.047 0.367
F6 0.190 0.750 0.949
```

(3)
The following is a computed powder X-ray diffraction pattern of ZnB2N4F8. It was derived from DFT lattice parameters and positions (GGA-PBE), using Cu Ka.

Largest 10 diffraction maxima, sorted by position, 2θ = 10–90°:
Position (°2θ)  I_rel  index
14.2  55  2 0 0
15.7  25  1 1 1
20.0  100  2 1 1
22.5  33  3 0 1
24.4  36  0 2 0
24.7  34  0 1 3
25.6  23  3 1 1
28.3  25  0 2 2
28.6  47  4 0 0
40.8  17  5 1 2

Structure:
```
data_ZnB2N4F8
_chemical_formula_sum 'Zn4 B8 N16 F32'
_cell_length_a 12.503
_cell_length_b 7.307
_cell_length_c 12.442
_cell_angle_alpha 90.00
_cell_angle_beta 90.00
_cell_angle_gamma 90.00
_symmetry_space_group_name_H-M 'P n m a'
_symmetry_Int_Tables_number 62
loop_
_symmetry_equiv_pos_as_xyz
'x,y,z'
'-x,-y,-z'
'-x+1/2,-y,z+1/2'
'x+1/2,y,-z+1/2'
'x+1/2,-y+1/2,-z+1/2'
'-x+1/2,y+1/2,z+1/2'
'-x,y+1/2,-z'
'x,-y+1/2,z'
loop_
_atom_site_label
_atom_site_fract_x
_atom_site_fract_y
_atom_site_fract_z
Zn1 0.206 0.250 0.089
B1 0.030 0.250 0.682
B2 0.184 0.750 0.915
N1 0.058 0.250 0.022
N2 0.207 0.750 0.440
N3 0.245 0.526 0.668
F1 0.023 0.093 0.629
F2 0.039 0.250 0.788
F3 0.132 0.750 0.019
F4 0.152 0.591 0.859
F5 0.204 0.250 0.430
F6 0.217 0.750 0.336
```

(4)
The following is a computed powder X-ray diffraction pattern of Na3B2PO5F4. It was derived from DFT lattice parameters and positions (GGA-PBE), using Cu Ka.

Largest 10 diffraction maxima, sorted by position, 2θ = 10–90°:
Position (°2θ)  I_rel  index
14.3  22  0 0 2
17.7  78  1 1 1
24.2  32  2 0 2
27.0  100  1 1 3
27.8  31  1 2 0
32.0  22  2 1 3
32.7  21  2 2 0
45.4  39  0 3 3
47.3  36  4 1 3
47.8  22  4 2 0

Structure:
```
data_Na3B2PO5F4
_chemical_formula_sum 'Na12 B8 P4 O20 F16'
_cell_length_a 9.170
_cell_length_b 6.840
_cell_length_c 12.385
_cell_angle_alpha 90.00
_cell_angle_beta 90.00
_cell_angle_gamma 90.00
_symmetry_space_group_name_H-M 'A m a 2'
_symmetry_Int_Tables_number 40
loop_
_symmetry_equiv_pos_as_xyz
'x,y,z'
'-x,-y,z'
'-x+1/2,y,z'
'x+1/2,-y,z'
'x,y+1/2,z+1/2'
'-x,-y+1/2,z+1/2'
'-x+1/2,y+1/2,z+1/2'
'x+1/2,-y+1/2,z+1/2'
loop_
_atom_site_label
_atom_site_fract_x
_atom_site_fract_y
_atom_site_fract_z
Na1 0.000 0.000 0.000
Na2 0.000 0.000 0.297
Na3 0.000 0.000 0.683
B1 0.250 0.071 0.486
B2 0.250 0.244 0.885
P1 0.250 0.232 0.108
O1 0.108 0.176 0.161
O2 0.250 0.139 0.989
O3 0.250 0.450 0.892
O4 0.250 0.464 0.090
F1 0.123 0.175 0.825
F2 0.123 0.196 0.486
```

(5)
The following is a computed powder X-ray diffraction pattern of Na3B2PO5F4. It was derived from DFT lattice parameters and positions (GGA-PBE), using Cu Ka.

Largest 10 diffraction maxima, sorted by position, 2θ = 10–90°:
Position (°2θ)  I_rel  index
17.6  40  0 2 1
18.7  31  1 0 -2
29.8  62  0 3 2
30.7  100  2 0 0
30.7  38  0 4 1
31.0  38  1 3 1
32.3  51  2 1 -3
41.3  41  1 1 3
42.6  30  3 1 -3
42.7  47  1 3 -4

Structure:
```
data_Na3B2PO5F4
_chemical_formula_sum 'Na12 B8 P4 O20 F16'
_cell_length_a 6.616
_cell_length_b 12.333
_cell_length_c 9.941
_cell_angle_alpha 90.00
_cell_angle_beta 118.36
_cell_angle_gamma 90.00
_symmetry_space_group_name_H-M 'P 1 21/c 1'
_symmetry_Int_Tables_number 14
loop_
_symmetry_equiv_pos_as_xyz
'x,y,z'
'-x,-y,-z'
'-x,y+1/2,-z+1/2'
'x,-y+1/2,z+1/2'
loop_
_atom_site_label
_atom_site_fract_x
_atom_site_fract_y
_atom_site_fract_z
Na1 0.169 0.079 0.337
Na2 0.169 0.143 0.959
Na3 0.298 0.730 0.911
B1 0.332 0.565 0.629
B2 0.342 0.553 0.195
P1 0.275 0.161 0.690
O1 0.111 0.235 0.713
O2 0.184 0.039 0.669
O3 0.327 0.191 0.561
O4 0.435 0.039 0.175
O5 0.491 0.655 0.650
F1 0.161 0.564 0.470
F2 0.202 0.591 0.712
F3 0.228 0.647 0.211
F4 0.365 0.571 0.058
```

(6)
The following is a computed powder X-ray diffraction pattern of Nd4B4O11F2. It was derived from DFT lattice parameters and positions (GGA-PBE), using Cu Ka.

Largest 10 diffraction maxima, sorted by position, 2θ = 10–90°:
Position (°2θ)  I_rel  index
19.8  73  1 1 0
25.4  80  0 0 4
28.3  46  4 0 -2
28.7  41  4 0 2
29.6  100  3 1 -2
29.9  100  3 1 2
32.3  45  1 1 -4
38.0  38  0 2 0
46.2  77  0 2 4
47.2  55  3 1 -6

Structure:
```
data_Nd4B4O11F2
_chemical_formula_sum 'Nd16 B16 O44 F8'
_cell_length_a 13.978
_cell_length_b 4.741
_cell_length_c 14.050
_cell_angle_alpha 90.00
_cell_angle_beta 91.08
_cell_angle_gamma 90.00
_symmetry_space_group_name_H-M 'C 1 2/c 1'
_symmetry_Int_Tables_number 15
loop_
_symmetry_equiv_pos_as_xyz
'x,y,z'
'-x,-y,-z'
'-x,y,-z+1/2'
'x,-y,z+1/2'
'x+1/2,y+1/2,z'
'-x+1/2,-y+1/2,-z'
'-x+1/2,y+1/2,-z+1/2'
'x+1/2,-y+1/2,z+1/2'
loop_
_atom_site_label
_atom_site_fract_x
_atom_site_fract_y
_atom_site_fract_z
Nd1 0.058 0.024 0.371
Nd2 0.221 0.021 0.129
B1 0.093 0.480 0.215
B2 0.094 0.452 0.527
O1 0.000 0.356 0.250
O2 0.080 0.166 0.536
O3 0.088 0.374 0.107
O4 0.100 0.222 0.725
O5 0.113 0.441 0.938
O6 0.171 0.318 0.257
F1 0.230 0.023 0.424
```